This entry pairs a crystal structure of Te7IrBr7 with its calculated PXRD pattern. Radiation: CuKα. Structure: a GGA-PBE-relaxed structure.
No peak broadening, texture or thermal motion is included.

Structural model:
Unit cell a=10.655 b=10.955 c=11.663 alpha=94.31 beta=109.91 gamma=114.17
Sites, in units of the cell vectors:
Te 0.027 0.234 0.222
Te 0.071 0.830 0.498
Te 0.099 0.489 0.805
Te 0.185 0.538 0.512
Te 0.192 0.737 0.345
Te 0.223 0.358 0.688
Te 0.374 0.845 0.805
Te 0.626 0.155 0.195
Te 0.777 0.642 0.312
Te 0.808 0.263 0.655
Te 0.815 0.462 0.488
Te 0.901 0.511 0.195
Te 0.929 0.170 0.502
Te 0.973 0.766 0.778
Ir 0.092 0.662 0.652
Ir 0.908 0.338 0.348
Br 0.114 0.034 0.790
Br 0.192 0.814 0.005
Br 0.213 0.506 0.194
Br 0.262 0.250 0.442
Br 0.395 0.040 0.666
Br 0.432 0.668 0.950
Br 0.458 0.198 0.290
Br 0.542 0.802 0.710
Br 0.568 0.332 0.050
Br 0.605 0.960 0.334
Br 0.738 0.750 0.558
Br 0.787 0.494 0.806
Br 0.808 0.186 0.995
Br 0.886 0.966 0.210

Principal peaks in the range 2θ from 10° to 90°, in order of rising 2θ:
(1 0 -1), 10.05 deg, intensity 100.0
(0 1 -1), 10.72 deg, intensity 43.9
(-2 2 2), 23.64 deg, intensity 17.8
(0 2 -3), 27.25 deg, intensity 27.5
(1 -3 2), 28.22 deg, intensity 40.5
(2 1 1), 30.20 deg, intensity 51.3
(-3 2 3), 31.40 deg, intensity 80.2
(0 3 -3), 32.55 deg, intensity 30.2
(3 0 1), 34.68 deg, intensity 17.5
(3 1 0), 35.61 deg, intensity 19.2

***

This entry pairs a crystal structure of Th2IrBr with its calculated PXRD pattern. Radiation: CuKα. Structure: a GGA-PBE-relaxed structure.
No peak broadening, texture or thermal motion is included.

Structural model:
Unit cell a=4.083 b=4.083 c=8.063 alpha=90.00 beta=90.00 gamma=120.00
Sites, in units of the cell vectors:
Th 0.333 0.667 0.303
Th 0.667 0.333 0.697
Ir 0.000 0.000 0.500
Br 0.000 0.000 0.000

Principal peaks in the range 2θ from 10° to 90°, in order of rising 2θ:
(0 0 1), 10.97 deg, intensity 54.7
(1 0 1), 27.55 deg, intensity 87.9
(1 0 2), 33.72 deg, intensity 100.0
(0 1 3), 42.24 deg, intensity 27.9
(1 1 0), 44.37 deg, intensity 47.4
(0 1 4), 52.24 deg, intensity 21.7
(0 2 1), 53.03 deg, intensity 15.0
(0 2 2), 56.87 deg, intensity 22.9
(2 1 1), 71.56 deg, intensity 12.5
(2 1 2), 74.85 deg, intensity 20.6

***

This entry pairs a crystal structure of TlIrBr3 with its calculated PXRD pattern. Radiation: CuKα. Structure: a GGA-PBE-relaxed structure.
No peak broadening, texture or thermal motion is included.

Structural model:
Unit cell a=5.179 b=5.179 c=5.179 alpha=90.00 beta=90.00 gamma=90.00
Sites, in units of the cell vectors:
Tl 0.000 0.000 0.000
Ir 0.500 0.500 0.500
Br 0.000 0.500 0.500
Br 0.500 0.000 0.500
Br 0.500 0.500 0.000

Principal peaks in the range 2θ from 10° to 90°, in order of rising 2θ:
(1 1 0), 24.30 deg, intensity 100.0
(1 1 1), 29.88 deg, intensity 28.8
(2 0 0), 34.64 deg, intensity 88.4
(2 1 1), 42.77 deg, intensity 46.7
(2 2 0), 49.80 deg, intensity 63.3
(3 1 0), 56.16 deg, intensity 21.4
(2 2 2), 62.08 deg, intensity 21.8
(3 2 1), 67.69 deg, intensity 24.7
(4 1 1), 78.32 deg, intensity 12.4
(4 2 0), 83.47 deg, intensity 29.1

***

This entry pairs a crystal structure of ZrIr2Br with its calculated PXRD pattern. Radiation: CuKα. Structure: a GGA-PBE-relaxed structure.
No peak broadening, texture or thermal motion is included.

Structural model:
Unit cell a=9.930 b=3.086 c=5.678 alpha=90.00 beta=120.69 gamma=90.00
Sites, in units of the cell vectors:
Zr 0.000 0.000 0.000
Zr 0.500 0.500 0.000
Ir 0.089 0.500 0.450
Ir 0.339 0.000 0.527
Ir 0.589 0.000 0.450
Ir 0.839 0.500 0.527
Br 0.222 0.500 0.987
Br 0.722 0.000 0.987

Principal peaks in the range 2θ from 10° to 90°, in order of rising 2θ:
(0 0 1), 18.17 deg, intensity 65.5
(1 1 0), 30.81 deg, intensity 34.9
(1 1 -1), 33.06 deg, intensity 79.1
(4 0 -1), 36.32 deg, intensity 91.0
(0 0 2), 36.82 deg, intensity 84.9
(1 1 1), 38.75 deg, intensity 100.0
(3 1 -1), 40.01 deg, intensity 44.7
(3 1 0), 43.24 deg, intensity 53.3
(3 1 -2), 45.28 deg, intensity 73.1
(4 2 -1), 72.15 deg, intensity 27.1

***

This entry pairs a crystal structure of KBr3 with its calculated PXRD pattern. Radiation: CuKα. Structure: a GGA-PBE-relaxed structure.
No peak broadening, texture or thermal motion is included.

Structural model:
Unit cell a=6.493 b=8.249 c=6.439 alpha=90.00 beta=90.00 gamma=90.00
Sites, in units of the cell vectors:
K 0.250 0.250 0.230
K 0.750 0.750 0.770
Br 0.250 0.097 0.730
Br 0.250 0.403 0.730
Br 0.250 0.750 0.804
Br 0.750 0.250 0.196
Br 0.750 0.597 0.270
Br 0.750 0.903 0.270

Principal peaks in the range 2θ from 10° to 90°, in order of rising 2θ:
(1 1 0), 17.40 deg, intensity 11.9
(1 0 1), 19.41 deg, intensity 100.0
(2 0 0), 27.47 deg, intensity 44.4
(0 0 2), 27.71 deg, intensity 36.3
(1 3 0), 35.45 deg, intensity 22.8
(0 3 1), 35.50 deg, intensity 40.6
(2 0 2), 39.42 deg, intensity 27.2
(2 3 1), 45.47 deg, intensity 39.9
(1 3 2), 45.58 deg, intensity 16.8
(2 3 3), 61.85 deg, intensity 12.1

***

This entry pairs a crystal structure of KBr3 with its calculated PXRD pattern. Radiation: CuKα. Structure: a GGA-PBE-relaxed structure.
No peak broadening, texture or thermal motion is included.

Structural model:
Unit cell a=10.565 b=18.264 c=5.460 alpha=90.00 beta=90.00 gamma=90.00
Sites, in units of the cell vectors:
K 0.000 0.167 0.250
K 0.000 0.833 0.750
K 0.500 0.333 0.750
K 0.500 0.667 0.250
Br 0.000 0.008 0.750
Br 0.000 0.992 0.250
Br 0.238 0.246 0.750
Br 0.238 0.754 0.250
Br 0.262 0.254 0.250
Br 0.262 0.746 0.750
Br 0.500 0.492 0.250
Br 0.500 0.508 0.750
Br 0.738 0.254 0.250
Br 0.738 0.746 0.750
Br 0.762 0.246 0.750
Br 0.762 0.754 0.250

Principal peaks in the range 2θ from 10° to 90°, in order of rising 2θ:
(0 4 0), 19.42 deg, intensity 100.0
(1 5 0), 25.79 deg, intensity 20.8
(2 4 1), 30.62 deg, intensity 12.4
(0 0 2), 32.81 deg, intensity 14.6
(4 0 0), 33.97 deg, intensity 37.5
(0 4 2), 38.41 deg, intensity 34.1
(4 4 0), 39.43 deg, intensity 14.7
(4 0 2), 47.95 deg, intensity 27.3
(4 4 2), 52.20 deg, intensity 12.9
(2 10 2), 63.76 deg, intensity 13.1

***

This entry pairs a crystal structure of KBr3 with its calculated PXRD pattern. Radiation: CuKα. Structure: a GGA-PBE-relaxed structure.
No peak broadening, texture or thermal motion is included.

Structural model:
Unit cell a=5.980 b=6.775 c=8.374 alpha=90.00 beta=90.00 gamma=90.00
Sites, in units of the cell vectors:
K 0.000 0.000 0.000
K 0.500 0.500 0.500
Br 0.000 0.500 0.000
Br 0.000 0.500 0.310
Br 0.000 0.500 0.690
Br 0.500 0.000 0.190
Br 0.500 0.000 0.500
Br 0.500 0.000 0.810

Principal peaks in the range 2θ from 10° to 90°, in order of rising 2θ:
(1 1 0), 19.80 deg, intensity 100.0
(0 2 0), 26.31 deg, intensity 49.2
(2 0 0), 29.88 deg, intensity 35.2
(0 1 3), 34.76 deg, intensity 20.4
(1 0 3), 35.49 deg, intensity 39.2
(2 2 0), 40.23 deg, intensity 30.4
(1 3 0), 42.80 deg, intensity 13.3
(1 2 3), 44.72 deg, intensity 39.8
(2 1 3), 46.48 deg, intensity 17.9
(3 2 3), 63.59 deg, intensity 13.5